BaLa3TiCr3O12: calculated PXRD pattern (Cu Kα, 1.54184 Å), based on a DFT-relaxed cell (GGA+U, the Materials Project).

Largest 10 diffraction maxima, sorted by position, 10° ≤ 2θ ≤ 90°:
- 22.50°, intensity 25, hkl 1 0 0
- 31.86°, intensity 26, hkl 0 2 0
- 32.04°, intensity 100, hkl 1 1 2
- 32.20°, intensity 24, hkl 0 0 4
- 39.37°, intensity 17, hkl 1 2 0
- 39.65°, intensity 16, hkl 1 0 4
- 45.94°, intensity 50, hkl 2 0 0
- 56.88°, intensity 19, hkl 1 3 2
- 57.28°, intensity 28, hkl 2 0 4
- 67.01°, intensity 19, hkl 2 2 4

```
BaLa3TiCr3O12
1.0
3.949 0.000 0.000
0.000 5.618 0.000
0.000 0.000 11.121
Ba La Ti Cr O
1 3 1 3 12
Direct
0.000 0.000 0.000
0.000 0.000 0.500
0.000 0.500 0.256
0.000 0.500 0.744
0.500 0.500 0.000
0.500 0.000 0.252
0.500 0.000 0.748
0.500 0.500 0.500
0.000 0.000 0.261
0.000 0.000 0.739
0.000 0.500 0.000
0.000 0.500 0.500
0.500 0.251 0.376
0.500 0.251 0.624
0.500 0.264 0.130
0.500 0.264 0.870
0.500 0.736 0.130
0.500 0.736 0.870
0.500 0.749 0.376
0.500 0.749 0.624
```